Diffraction record for AcPuMn2O6. The XRD peak list is calculated, not measured: it uses DFT lattice parameters and positions (GGA+U) and Cu Kα (λ = 1.5418 Å).
No peak broadening, texture or thermal motion is included.

The 10 most intense peaks (10 to 90 degrees two-theta), by angle:
2theta  I_rel
19.42  85.0
19.99  100.0
28.01  99.1
28.42  87.6
34.65  43.5
40.63  52.0
44.58  34.4
45.41  37.3
50.07  42.3
51.55  31.2

Cell and atoms:
```
AcPuMn2O6
1.0
6.2806 0.0000 0.0000
0.0000 6.2806 0.0000
0.0000 0.0000 4.5718
Ac Pu Mn O
1 1 2 6
Cartesian
0.0000 0.0000 0.0000
3.1403 3.1403 0.6169
0.0000 3.1403 1.4306
3.1403 0.0000 1.4306
0.0000 0.0000 2.3646
1.6555 1.6555 0.8164
1.6555 4.6251 0.8164
3.1403 3.1403 2.9604
4.6251 1.6555 0.8164
4.6251 4.6251 0.8164
```